1.
Li2Pm3Al: simulated powder diffractogram (λ = 1.5418 Å (Cu Kα)), based on a GGA-PBE-relaxed structure.

Cell and atoms:
```
data_Li2Pm3Al
_chemical_formula_sum 'Li4 Pm6 Al2'
_cell_length_a 5.3008
_cell_length_b 5.3008
_cell_length_c 13.0093
_cell_angle_alpha 90.00
_cell_angle_beta 90.00
_cell_angle_gamma 120.00
_space_group_name_H-M_alt 'P -3 m 1'
_space_group_IT_number 164
_space_group_name_Hall '-P 3 2"'
loop_
_atom_site_label
_atom_site_type_symbol
_atom_site_fract_x
_atom_site_fract_y
_atom_site_fract_z
_atom_site_occupancy
Li1 Li 0.0000 0.0000 0.0000 1
Li2 Li 0.0000 0.0000 0.5000 1
Li3 Li 0.3333 0.6667 0.1712 1
Pm1 Pm 0.0000 0.0000 0.2546 1
Pm2 Pm 0.3333 0.6667 0.4185 1
Pm3 Pm 0.3333 0.6667 0.9127 1
Al1 Al 0.3333 0.6667 0.6666 1
```

Peak list (6 most intense, 2θ = 10–90°, low angle first)
- 23.72 deg, 3.751 Å, I 88
- 33.80 deg, 2.652 Å, I 100
- 41.71 deg, 2.165 Å, I 27
- 48.55 deg, 1.875 Å, I 18
- 54.72 deg, 1.677 Å, I 36
- 60.45 deg, 1.532 Å, I 28

2.
Zn5GaRh2: simulated powder diffractogram (λ = 1.5418 Å (Cu Kα)), based on a GGA-PBE-relaxed structure.

Cell and atoms:
```
data_Zn5GaRh2
_chemical_formula_sum 'Zn20 Ga4 Rh8'
_cell_length_a 4.083
_cell_length_b 12.199
_cell_length_c 10.546
_cell_angle_alpha 90.00
_cell_angle_beta 90.00
_cell_angle_gamma 90.00
_space_group_name_H-M_alt 'C m c m'
_space_group_IT_number 63
_space_group_name_Hall '-C 2c 2'
loop_
_atom_site_label
_atom_site_type_symbol
_atom_site_fract_x
_atom_site_fract_y
_atom_site_fract_z
_atom_site_occupancy
Zn1 Zn 0.000 0.105 0.133 1
Zn2 Zn 0.000 0.274 0.750 1
Zn3 Zn 0.000 0.315 0.000 1
Ga1 Ga 0.000 0.419 0.250 1
Rh1 Rh 0.000 0.102 0.609 1
```

Peak list (6 most intense, 2θ = 10–90°, low angle first)
- 29.29 deg, 3.049 Å, I 36
- 40.48 deg, 2.228 Å, I 37
- 41.43 deg, 2.179 Å, I 100
- 43.20 deg, 2.094 Å, I 61
- 44.37 deg, 2.041 Å, I 53
- 46.69 deg, 1.945 Å, I 48

3.
Dy7CS5: simulated powder diffractogram (λ = 1.5418 Å (Cu Kα)), based on a GGA-PBE-relaxed structure.

Cell and atoms:
```
data_Dy7CS5
_chemical_formula_sum 'Dy28 C4 S20'
_cell_length_a 3.741
_cell_length_b 12.810
_cell_length_c 23.437
_cell_angle_alpha 90.00
_cell_angle_beta 90.00
_cell_angle_gamma 90.00
_space_group_name_H-M_alt 'C m c 21'
_space_group_IT_number 36
loop_
_space_group_symop_operation_xyz
'x,y,z'
'-x,-y,z+1/2'
'-x,y,z'
'x,-y,z+1/2'
'x+1/2,y+1/2,z'
'-x+1/2,-y+1/2,z+1/2'
'-x+1/2,y+1/2,z'
'x+1/2,-y+1/2,z+1/2'
loop_
_atom_site_label
_atom_site_type_symbol
_atom_site_fract_x
_atom_site_fract_y
_atom_site_fract_z
_atom_site_occupancy
Dy1 Dy 0.000 0.055 0.000 1
Dy2 Dy 0.000 0.131 0.289 1
Dy3 Dy 0.000 0.146 0.713 1
Dy4 Dy 0.000 0.294 0.072 1
Dy5 Dy 0.000 0.296 0.933 1
Dy6 Dy 0.000 0.405 0.370 1
Dy7 Dy 0.000 0.428 0.646 1
C1 C 0.000 0.324 0.466 1
S1 S 0.000 0.051 0.397 1
S2 S 0.000 0.064 0.605 1
S3 S 0.000 0.214 0.180 1
S4 S 0.000 0.228 0.824 1
S5 S 0.000 0.489 0.255 1
```

Peak list (6 most intense, 2θ = 10–90°, low angle first)
- 27.33 deg, 3.263 Å, I 48
- 28.12 deg, 3.173 Å, I 48
- 29.16 deg, 3.062 Å, I 60
- 30.12 deg, 2.967 Å, I 100
- 32.73 deg, 2.736 Å, I 71
- 33.86 deg, 2.647 Å, I 59

4.
Pr4Ag3Ir: simulated powder diffractogram (λ = 1.5418 Å (Cu Kα)), based on a GGA-PBE-relaxed structure.

Cell and atoms:
```
data_Pr4Ag3Ir
_chemical_formula_sum 'Pr12 Ag9 Ir3'
_cell_length_a 5.2917
_cell_length_b 5.2917
_cell_length_c 25.6308
_cell_angle_alpha 90.00
_cell_angle_beta 90.00
_cell_angle_gamma 120.00
_space_group_name_H-M_alt 'R -3 m'
_space_group_IT_number 166
_space_group_name_Hall '-R 3 2"'
loop_
_atom_site_label
_atom_site_type_symbol
_atom_site_fract_x
_atom_site_fract_y
_atom_site_fract_z
_atom_site_occupancy
Pr1 Pr 0.0000 0.0000 0.1167 1
Pr2 Pr 0.0000 0.0000 0.3683 1
Ag1 Ag 0.0000 0.0000 0.2419 1
Ag2 Ag 0.0000 0.0000 0.5000 1
Ir1 Ir 0.0000 0.0000 0.0000 1
```

Peak list (6 most intense, 2θ = 10–90°, low angle first)
- 33.88 deg, 2.646 Å, I 100
- 34.15 deg, 2.626 Å, I 88
- 48.87 deg, 1.864 Å, I 32
- 60.62 deg, 1.528 Å, I 18
- 60.79 deg, 1.524 Å, I 32
- 81.46 deg, 1.181 Å, I 14

5.
Li2Mg6Sc: simulated powder diffractogram (λ = 1.5418 Å (Cu Kα)), based on a GGA-PBE-relaxed structure.

Cell and atoms:
```
data_Li2Mg6Sc
_chemical_formula_sum 'Li2 Mg6 Sc1'
_cell_length_a 3.1720
_cell_length_b 3.1720
_cell_length_c 23.4587
_cell_angle_alpha 90.00
_cell_angle_beta 90.00
_cell_angle_gamma 120.00
_space_group_name_H-M_alt 'P -6 m 2'
_space_group_IT_number 187
_space_group_name_Hall 'P -6 2'
loop_
_atom_site_label
_atom_site_type_symbol
_atom_site_fract_x
_atom_site_fract_y
_atom_site_fract_z
_atom_site_occupancy
Li1 Li 0.0000 0.0000 0.1695 1
Mg1 Mg 0.0000 0.0000 0.3865 1
Mg2 Mg 0.6667 0.3333 0.0647 1
Mg3 Mg 0.6667 0.3333 0.2743 1
Sc1 Sc 0.6667 0.3333 0.5000 1
```

Peak list (6 most intense, 2θ = 10–90°, low angle first)
- 32.60 deg, 2.747 Å, I 67
- 34.41 deg, 2.607 Å, I 47
- 36.11 deg, 2.488 Å, I 89
- 37.96 deg, 2.371 Å, I 100
- 48.12 deg, 1.891 Å, I 38
- 69.36 deg, 1.355 Å, I 33

6.
PuCd11Cu: simulated powder diffractogram (λ = 1.5418 Å (Cu Kα)), based on a GGA-PBE-relaxed structure.

Cell and atoms:
```
data_PuCd11Cu
_chemical_formula_sum 'Pu2 Cd22 Cu2'
_cell_length_a 5.756
_cell_length_b 14.209
_cell_length_c 7.600
_cell_angle_alpha 90.00
_cell_angle_beta 111.38
_cell_angle_gamma 90.00
_space_group_name_H-M_alt 'C 1 2/m 1'
_space_group_IT_number 12
loop_
_space_group_symop_operation_xyz
'x,y,z'
'-x,-y,-z'
'-x,y,-z'
'x,-y,z'
'x+1/2,y+1/2,z'
'-x+1/2,-y+1/2,-z'
'-x+1/2,y+1/2,-z'
'x+1/2,-y+1/2,z'
loop_
_atom_site_label
_atom_site_type_symbol
_atom_site_fract_x
_atom_site_fract_y
_atom_site_fract_z
_atom_site_occupancy
Pu1 Pu 0.000 0.000 0.000 1
Cd1 Cd 0.000 0.000 0.500 1
Cd2 Cd 0.094 0.397 0.218 1
Cd3 Cd 0.187 0.171 0.357 1
Cd4 Cd 0.250 0.250 0.000 1
Cu1 Cu 0.000 0.500 0.500 1
```

Peak list (6 most intense, 2θ = 10–90°, low angle first)
- 31.08 deg, 2.877 Å, I 43
- 35.73 deg, 2.513 Å, I 55
- 35.82 deg, 2.507 Å, I 100
- 36.14 deg, 2.485 Å, I 47
- 40.32 deg, 2.237 Å, I 27
- 64.79 deg, 1.439 Å, I 24

7.
Y3Mg2Pt3: simulated powder diffractogram (λ = 1.5418 Å (Cu Kα)), based on a GGA-PBE-relaxed structure.

Cell and atoms:
```
data_Y3Mg2Pt3
_chemical_formula_sum 'Y6 Mg4 Pt6'
_cell_length_a 8.3850
_cell_length_b 8.3850
_cell_length_c 5.7649
_cell_angle_alpha 90.00
_cell_angle_beta 90.00
_cell_angle_gamma 120.00
_space_group_name_H-M_alt 'P 63/m c m'
_space_group_IT_number 193
_space_group_name_Hall '-P 6c 2'
loop_
_atom_site_label
_atom_site_type_symbol
_atom_site_fract_x
_atom_site_fract_y
_atom_site_fract_z
_atom_site_occupancy
Y1 Y 0.0000 0.2704 0.2500 1
Mg1 Mg 0.3333 0.6667 0.0000 1
Pt1 Pt 0.0000 0.3882 0.7500 1
```

Peak list (6 most intense, 2θ = 10–90°, low angle first)
- 21.19 deg, 4.192 Å, I 69
- 31.03 deg, 2.882 Å, I 55
- 36.25 deg, 2.478 Å, I 100
- 37.14 deg, 2.421 Å, I 58
- 37.88 deg, 2.375 Å, I 55
- 47.84 deg, 1.901 Å, I 48

8.
CsYTeS: simulated powder diffractogram (λ = 1.5418 Å (Cu Kα)), based on a GGA-PBE-relaxed structure.

Cell and atoms:
```
data_CsYTeS
_chemical_formula_sum 'Cs3 Y3 Te3 S3'
_cell_length_a 4.2935
_cell_length_b 4.2935
_cell_length_c 25.9710
_cell_angle_alpha 90.00
_cell_angle_beta 90.00
_cell_angle_gamma 120.00
_space_group_name_H-M_alt 'R 3 m'
_space_group_IT_number 160
_space_group_name_Hall 'R 3 -2"'
loop_
_atom_site_label
_atom_site_type_symbol
_atom_site_fract_x
_atom_site_fract_y
_atom_site_fract_z
_atom_site_occupancy
Cs1 Cs 0.0000 0.0000 0.0000 1
Y1 Y 0.0000 0.0000 0.1556 1
Te1 Te 0.0000 0.0000 0.5601 1
S1 S 0.0000 0.0000 0.7700 1
```

Peak list (6 most intense, 2θ = 10–90°, low angle first)
- 24.91 deg, 3.575 Å, I 78
- 27.65 deg, 3.227 Å, I 20
- 29.54 deg, 3.023 Å, I 100
- 34.14 deg, 2.626 Å, I 59
- 42.09 deg, 2.147 Å, I 55
- 55.30 deg, 1.661 Å, I 25